Simulated powder diffractogram of NaHf2Bi2O7 for Cu Kα (λ = 1.5418 Å), from the GGA-PBE geometry in Alexandria.
Neutral-atom scattering factors, no anomalous dispersion.

The 10 most intense peaks (2θ = 15–90°), sorted by position:
d/Å  I (rel.)
3.434  42
3.198  100
3.062  36
2.915  42
2.858  50
2.222  23
2.183  28
2.111  27
1.732  28
1.532  24

Atomic structure:
```
data_NaHf2Bi2O7
_chemical_formula_sum 'Na1 Hf2 Bi2 O7'
_space_group_name_H-M_alt 'P 1'
_space_group_IT_number 1
_space_group_name_Hall 'P 1'
_cell_length_a 10.149
_cell_length_b 10.149
_cell_length_c 10.149
_cell_angle_alpha 160.19
_cell_angle_beta 39.11
_cell_angle_gamma 146.62
loop_
_atom_site_label
_atom_site_type_symbol
_atom_site_fract_x
_atom_site_fract_y
_atom_site_fract_z
Na1 Na 0.000 0.000 0.000
Hf1 Hf 0.438 0.037 0.401
Hf2 Hf 0.636 0.037 0.599
Bi1 Bi 0.258 0.565 0.693
Bi2 Bi 0.872 0.565 0.307
O1 O 0.118 0.701 0.416
O2 O 0.217 0.930 0.287
O3 O 0.285 0.701 0.584
O4 O 0.569 0.690 0.879
O5 O 0.643 0.930 0.713
O6 O 0.644 0.144 0.500
O7 O 0.811 0.690 0.121
```